For Cs2KTiO2F3, a cell relaxed with GGA-PBE gives the theoretical powder diffraction line list in this record (CuKα).
Intensities are scaled so that the largest is 100.

The 10 most intense peaks (5° ≤ 2θ ≤ 70°), low angle first:
19.18°, I = 20.5
26.16°, I = 86.7
27.33°, I = 100.0
28.38°, I = 68.7
33.61°, I = 49.5
35.69°, I = 23.9
38.92°, I = 27.3
46.21°, I = 40.5
48.21°, I = 37.5
50.30°, I = 23.9

```
9
Lattice="0.0000 4.6276 5.0321 4.2868 0.0000 5.0321 4.2868 4.6276 0.0000" Properties=species:S:1:pos:R:3 pbc="T T T"
Cs 2.1434 2.3138 0.0000
Cs 2.1434 2.3138 5.0321
K 4.2868 4.6276 2.8147
Ti 4.2868 4.6276 7.4708
O 7.0838 4.6276 3.3702
O 1.4898 4.6276 3.3702
F 4.2868 2.5924 7.1869
F 4.2868 4.6276 5.4588
F 4.2868 6.6629 7.1869
```



For CsK2PbF6, a cell relaxed with GGA-PBE gives the theoretical powder diffraction line list in this record (CuKα).
Intensities are scaled so that the largest is 100.

The 10 most intense peaks (5° ≤ 2θ ≤ 70°), low angle first:
15.60°, I = 30.0
18.34°, I = 100.0
18.63°, I = 47.7
25.16°, I = 44.1
26.04°, I = 96.1
26.47°, I = 89.4
26.91°, I = 40.1
31.49°, I = 27.7
37.17°, I = 46.0
47.51°, I = 33.2

```
20
Lattice="6.6288 0.0000 0.0000 0.0000 7.0789 0.0000 -6.4215 0.0000 9.5256" Properties=species:S:1:pos:R:3 pbc="T T T"
Cs 0.0000 0.0000 0.0000
Cs -3.2108 3.5395 4.7628
K -3.1909 0.2272 6.8768
K 0.0198 3.3123 2.1140
K 0.1875 3.7666 7.4117
K 3.3982 6.8518 2.6488
Pb 0.1037 0.0000 4.7628
Pb 3.3144 3.5395 0.0000
F -1.8909 1.0518 4.5431
F -5.1017 2.4877 9.3059
F -4.1156 5.2778 8.4048
F -0.9048 5.3406 3.6419
F 0.9126 0.8806 2.8098
F -2.2981 2.6589 7.5726
F 2.5054 4.4200 1.9530
F -0.7053 6.1984 6.7158
F 1.1121 1.7384 5.8837
F 4.3229 1.8011 1.1209
F 5.3090 4.5913 0.2197
F 2.0982 6.0271 4.9826
```



For CsKPdF6, a cell relaxed with GGA-PBE gives the theoretical powder diffraction line list in this record (CuKα).
Intensities are scaled so that the largest is 100.

The 10 most intense peaks (5° ≤ 2θ ≤ 70°), low angle first:
16.70°, I = 14.9
16.86°, I = 26.4
23.82°, I = 100.0
29.42°, I = 45.7
37.97°, I = 23.8
38.20°, I = 54.3
48.75°, I = 17.3
48.94°, I = 24.0
57.97°, I = 17.4
61.05°, I = 13.0

```
9
Lattice="5.2568 -3.0366 0.0000 5.2568 3.0366 0.0000 -0.0048 0.0000 5.3095" Properties=species:S:1:pos:R:3 pbc="T T T"
Cs 0.0000 0.0000 0.0000
K 7.0045 0.0000 2.5426
Pd 3.5038 0.0000 3.5304
F 2.6830 1.4138 4.6122
F 4.3184 1.4063 2.4445
F 1.8859 0.0000 2.4344
F 2.6830 -1.4138 4.6122
F 5.1331 0.0000 4.6189
F 4.3184 -1.4063 2.4445
```



For Cs2KPuF8, a cell relaxed with GGA-PBE gives the theoretical powder diffraction line list in this record (CuKα).
Intensities are scaled so that the largest is 100.

The 10 most intense peaks (5° ≤ 2θ ≤ 70°), low angle first:
14.69°, I = 14.4
15.53°, I = 27.3
19.39°, I = 12.6
24.41°, I = 100.0
27.55°, I = 20.8
39.36°, I = 19.3
40.90°, I = 36.0
46.86°, I = 32.6
49.51°, I = 13.8
65.01°, I = 13.9

```
12
Lattice="-3.2372 3.2372 6.0321 3.2372 -3.2372 6.0321 3.2372 3.2372 -6.0321" Properties=species:S:1:pos:R:3 pbc="T T T"
Cs 0.0000 0.0000 0.0000
Cs 0.0000 3.2372 3.0161
K 0.0000 0.0000 6.0321
Pu 3.2372 0.0000 3.0161
F 1.2991 1.9904 -1.7408
F 1.9381 -1.2469 4.2913
F 1.9904 1.2991 1.7408
F 4.4841 1.2991 1.7408
F 1.2991 4.4841 -1.7408
F 1.9381 1.2469 4.2913
F -1.2469 1.9381 7.7729
F 1.2469 1.9381 7.7729
```



For Cs3K2ScF9, a cell relaxed with GGA-PBE gives the theoretical powder diffraction line list in this record (CuKα).
Intensities are scaled so that the largest is 100.

The 10 most intense peaks (5° ≤ 2θ ≤ 70°), low angle first:
18.58°, I = 40.5
26.11°, I = 100.0
26.68°, I = 96.5
32.71°, I = 48.8
37.67°, I = 77.9
46.76°, I = 38.5
47.11°, I = 18.7
53.71°, I = 20.9
54.96°, I = 23.9
61.83°, I = 18.6

```
15
Lattice="6.6831 0.0000 0.0000 -3.3415 5.7877 0.0000 0.0000 0.0000 8.4526" Properties=species:S:1:pos:R:3 pbc="T T T"
Cs 0.0000 0.0000 0.0000
Cs 0.0000 3.8585 5.8036
Cs 3.3415 1.9292 2.6490
K 0.0000 3.8585 1.7082
K 3.3415 1.9292 6.7444
Sc 0.0000 0.0000 4.2263
F -1.6708 2.8939 0.0000
F 0.0000 1.6641 3.0467
F -1.9004 4.9557 3.0467
F 1.4412 0.8321 5.4059
F 3.3415 0.0000 0.0000
F 1.6708 2.8939 0.0000
F 1.9004 4.9557 3.0467
F 5.2419 0.8321 5.4059
F 3.3415 4.1236 5.4059
```



For CsK2TbF6, a cell relaxed with GGA-PBE gives the theoretical powder diffraction line list in this record (CuKα).
Intensities are scaled so that the largest is 100.

The 10 most intense peaks (5° ≤ 2θ ≤ 70°), low angle first:
18.42°, I = 100.0
25.62°, I = 88.7
26.69°, I = 78.9
30.87°, I = 15.6
32.63°, I = 17.5
37.33°, I = 37.3
41.22°, I = 45.4
42.64°, I = 18.2
46.48°, I = 40.6
47.13°, I = 28.8

```
10
Lattice="3.3397 1.9282 5.8010 -3.3397 1.9282 5.8010 0.0000 -3.8564 5.8010" Properties=species:S:1:pos:R:3 pbc="T T T"
Cs 0.0000 0.0000 0.0000
K 0.0000 0.0000 4.7273
K 0.0000 0.0000 13.6386
Tb 0.0000 0.0000 8.4006
F -1.6821 -0.1341 6.9502
F -1.0679 -1.6143 9.4685
F 0.9572 -1.3897 6.9502
F -0.8640 1.7320 9.4685
F 0.7249 1.5238 6.9502
F 1.9320 -0.1177 9.4685
```



For CsKTlF6, a cell relaxed with GGA-PBE gives the theoretical powder diffraction line list in this record (CuKα).
Intensities are scaled so that the largest is 100.

The 10 most intense peaks (5° ≤ 2θ ≤ 70°), low angle first:
13.43°, I = 57.1
21.80°, I = 31.4
21.94°, I = 19.2
25.06°, I = 100.0
26.24°, I = 51.2
26.45°, I = 37.0
27.05°, I = 22.5
34.53°, I = 19.8
41.07°, I = 25.4
44.74°, I = 39.5

```
18
Lattice="-4.0775 4.2189 5.6029 4.0775 -4.2189 5.6029 4.0775 4.2189 -5.6029" Properties=species:S:1:pos:R:3 pbc="T T T"
Cs 0.0000 2.1094 1.7414
Cs 4.0775 2.1094 3.8616
K 2.0387 2.1094 -2.8015
K 2.0387 -2.1094 2.8015
Tl 4.0775 0.0000 0.0000
Tl 0.0000 0.0000 5.6029
F 4.0775 -2.1094 4.4055
F 4.0775 2.1094 -0.8491
F 2.6049 0.3876 1.4814
F 5.5501 0.3876 1.4814
F 2.6049 4.6065 -1.4814
F 1.4726 0.3876 4.1215
F 2.6049 3.8312 1.4814
F 1.4726 -0.3876 7.0843
F -1.4726 3.8312 4.1215
F 1.4726 3.8312 4.1215
F 0.0000 2.1094 6.4521
F 0.0000 6.3283 1.1975
```



For Cs2KZnF5, a cell relaxed with GGA-PBE gives the theoretical powder diffraction line list in this record (CuKα).
Intensities are scaled so that the largest is 100.

The 10 most intense peaks (5° ≤ 2θ ≤ 70°), low angle first:
12.83°, I = 36.8
16.15°, I = 23.5
25.66°, I = 24.9
25.83°, I = 42.3
26.35°, I = 89.5
28.79°, I = 100.0
32.63°, I = 21.5
36.73°, I = 64.0
38.94°, I = 23.8
50.23°, I = 24.6

```
18
Lattice="7.7627 0.0000 0.0000 0.0000 7.7627 0.0000 0.0000 0.0000 6.8985" Properties=species:S:1:pos:R:3 pbc="T T T"
Cs 1.3659 2.5154 0.0000
Cs 2.5154 6.3967 0.0000
Cs 5.2473 1.3659 0.0000
Cs 6.3967 5.2473 0.0000
K 0.0000 0.0000 3.4493
K 3.8813 3.8813 3.4493
Zn 0.0000 3.8813 3.4493
Zn 3.8813 0.0000 3.4493
F 0.0000 0.0000 0.0000
F 1.0042 4.8856 2.1077
F 1.0042 4.8856 4.7908
F 2.8771 1.0042 2.1077
F 2.8771 1.0042 4.7908
F 3.8813 3.8813 0.0000
F 4.8856 6.7585 2.1077
F 4.8856 6.7585 4.7908
F 6.7585 2.8771 2.1077
F 6.7585 2.8771 4.7908
```



For Cs4KZn3F12, a cell relaxed with GGA-PBE gives the theoretical powder diffraction line list in this record (CuKα).
Intensities are scaled so that the largest is 100.

The 10 most intense peaks (5° ≤ 2θ ≤ 70°), low angle first:
14.08°, I = 2.4
19.96°, I = 7.2
28.38°, I = 100.0
34.94°, I = 18.5
40.57°, I = 37.3
45.61°, I = 4.4
50.25°, I = 39.0
58.72°, I = 22.6
62.67°, I = 2.6
66.48°, I = 18.8

```
20
Lattice="-4.4474 4.4474 4.4474 4.4474 -4.4474 4.4474 4.4474 4.4474 -4.4474" Properties=species:S:1:pos:R:3 pbc="T T T"
Cs 2.2237 2.2237 -2.2237
Cs 2.2237 -2.2237 2.2237
Cs -2.2237 2.2237 2.2237
Cs 2.2237 2.2237 2.2237
K 0.0000 0.0000 0.0000
Zn 4.4474 0.0000 0.0000
Zn 0.0000 4.4474 0.0000
Zn 0.0000 0.0000 4.4474
F 2.5519 0.0000 0.0000
F 6.3429 0.0000 0.0000
F 4.4474 2.2237 0.0000
F 4.4474 0.0000 2.2237
F 0.0000 2.5519 0.0000
F 0.0000 0.0000 2.5519
F 2.2237 4.4474 0.0000
F 2.2237 0.0000 4.4474
F 0.0000 6.3429 0.0000
F 0.0000 0.0000 6.3429
F 0.0000 4.4474 2.2237
F 0.0000 2.2237 4.4474
```



For CsKZnF4, a cell relaxed with GGA-PBE gives the theoretical powder diffraction line list in this record (CuKα).
Intensities are scaled so that the largest is 100.

The 10 most intense peaks (5° ≤ 2θ ≤ 70°), low angle first:
15.31°, I = 16.6
17.69°, I = 57.6
25.12°, I = 100.0
29.55°, I = 14.9
30.90°, I = 20.5
40.23°, I = 20.6
44.26°, I = 40.6
51.57°, I = 20.4
54.95°, I = 12.7
58.20°, I = 16.7

```
7
Lattice="0.0000 5.0130 5.0130 5.0130 0.0000 5.0130 5.0130 5.0130 0.0000" Properties=species:S:1:pos:R:3 pbc="T T T"
Cs 0.0000 0.0000 0.0000
K 7.5196 7.5196 7.5196
Zn 5.0130 5.0130 5.0130
F 6.1224 3.9037 3.9037
F 3.9037 6.1224 3.9037
F 3.9037 3.9037 6.1224
F 6.1224 6.1224 6.1224
```